[1]
LaH2Cl3: calculated powder XRD pattern (λ = 1.5418 Å (Cu Kα)), based on DFT lattice parameters and positions (PBE).

Peak list (12 most intense, 2θ from 5° to 70°, sorted by position)
two_theta, intensity
13.31, 100
23.16, 11
26.52, 16
29.19, 10
32.74, 25
35.49, 24
35.71, 12
42.80, 15
47.16, 9
47.33, 8
48.72, 7
49.39, 6

Structure:
Cell lengths 7.682, 7.682, 7.790 Å; angles 90.00, 90.00, 120.00 degrees
Element x y z (fractional)
La  0.000  0.000  0.000
La  0.000  0.000  0.500
H  0.333  0.667  0.050
H  0.333  0.667  0.450
H  0.667  0.333  0.550
H  0.667  0.333  0.950
Cl  0.153  0.306  0.750
Cl  0.153  0.847  0.750
Cl  0.306  0.153  0.250
Cl  0.694  0.847  0.750
Cl  0.847  0.153  0.250
Cl  0.847  0.694  0.250

---

[2]
Pm3Zn7Ni2: calculated powder XRD pattern (λ = 1.5418 Å (Cu Kα)), based on DFT lattice parameters and positions (PBE).

Peak list (12 most intense, 2θ from 5° to 70°, sorted by position)
two_theta, intensity
30.93, 41
33.05, 43
33.82, 29
38.51, 37
39.01, 12
39.34, 100
42.22, 14
57.71, 14
61.32, 12
63.27, 24
64.46, 16
69.34, 22

Structure:
Cell lengths 9.117, 9.117, 9.117 Å; angles 34.59, 34.59, 34.59 degrees
Element x y z (fractional)
Pm  0.000  0.000  0.000
Pm  0.144  0.144  0.144
Pm  0.856  0.856  0.856
Zn  0.078  0.576  0.576
Zn  0.424  0.424  0.922
Zn  0.424  0.922  0.424
Zn  0.500  0.500  0.500
Zn  0.576  0.078  0.576
Zn  0.576  0.576  0.078
Zn  0.922  0.424  0.424
Ni  0.333  0.333  0.333
Ni  0.667  0.667  0.667